Theoretical PXRD pattern of Fe5Co3 for Cu Kα, from a crystal structure in Alexandria, relaxed with PBE.
Intensities are scaled so that the largest is 100.

The 8 most intense peaks (10 to 90 degrees two-theta), by intensity:
| (hkl) | two_theta | I_rel |
| --- | --- | --- |
| 2 4 0 | 45.1 | 100 |
| 2 0 -1 | 44.9 | 20 |
| 0 0 2 | 83.2 | 14 |
| 2 8 -1 | 65.5 | 12 |
| 4 0 0 | 83.4 | 9 |
| 2 0 1 | 65.9 | 6 |
| 2 4 -2 | 82.9 | 6 |
| 4 4 -1 | 83.0 | 6 |

Atomic structure:
```
data_Fe5Co3
_chemical_formula_sum 'Fe10 Co6'
_cell_length_a 4.930
_cell_length_b 16.094
_cell_length_c 2.470
_cell_angle_alpha 90.00
_cell_angle_beta 109.85
_cell_angle_gamma 90.00
_space_group_name_H-M_alt 'C 1 2 1'
_space_group_IT_number 5
loop_
_space_group_symop_operation_xyz
'x,y,z'
'-x,y,-z'
'x+1/2,y+1/2,z'
'-x+1/2,y+1/2,-z'
loop_
_atom_site_label
_atom_site_type_symbol
_atom_site_fract_x
_atom_site_fract_y
_atom_site_fract_z
Fe1 Fe 0.000 0.000 0.000
Fe2 Fe 0.000 0.247 0.000
Fe3 Fe 0.000 0.747 0.000
Fe4 Fe 0.250 0.374 0.497
Co1 Co 0.000 0.498 0.000
Co2 Co 0.249 0.623 0.504
```

---

Theoretical PXRD pattern of Fe13Co2 for Cu Kα, from a crystal structure in Alexandria, relaxed with PBE.
Intensities are scaled so that the largest is 100.

The 9 most intense peaks (10 to 90 degrees two-theta), by intensity:
| (hkl) | two_theta | I_rel |
| --- | --- | --- |
| 1 2 3 | 45.0 | 100 |
| 2 1 0 | 45.2 | 50 |
| 3 0 2 | 83.2 | 14 |
| 3 3 3 | 83.3 | 14 |
| 2 1 5 | 83.0 | 11 |
| 0 0 5 | 65.4 | 7 |
| -2 2 1 | 65.7 | 7 |
| 2 4 1 | 65.8 | 7 |
| 2 1 -5 | 83.1 | 4 |

Atomic structure:
```
data_Fe13Co2
_chemical_formula_sum 'Fe13 Co2'
_cell_length_a 4.013
_cell_length_b 6.351
_cell_length_c 7.415
_cell_angle_alpha 75.05
_cell_angle_beta 89.97
_cell_angle_gamma 71.66
_space_group_name_H-M_alt 'P -1'
_space_group_IT_number 2
loop_
_space_group_symop_operation_xyz
'x,y,z'
'-x,-y,-z'
loop_
_atom_site_label
_atom_site_type_symbol
_atom_site_fract_x
_atom_site_fract_y
_atom_site_fract_z
Fe1 Fe 0.000 0.000 0.000
Fe2 Fe 0.067 0.866 0.399
Fe3 Fe 0.133 0.734 0.799
Fe4 Fe 0.267 0.466 0.603
Fe5 Fe 0.333 0.334 0.000
Fe6 Fe 0.399 0.202 0.399
Fe7 Fe 0.467 0.065 0.800
Co1 Co 0.200 0.600 0.200
```